Theoretical X-ray powder pattern of Y4InAu for Cu Kα (λ = 1.5418 Å), from a crystal structure in Alexandria, relaxed with PBE.
Neutral-atom scattering factors, no anomalous dispersion.

Most intense lines, 15 to 90 degrees two-theta, in order of rising 2θ:
2θ 22.25, intensity 18; 2θ 25.50, intensity 26; 2θ 31.51, intensity 27; 2θ 32.74, intensity 59; 2θ 32.89, intensity 100; 2θ 33.31, intensity 32; 2θ 36.71, intensity 38; 2θ 45.39, intensity 20; 2θ 59.38, intensity 17; 2θ 63.50, intensity 21

Structural model:
a b c (Å): 5.4232 6.9867 8.8665
angles (deg): 90.00 97.25 90.00
Positions (direct):
Y 0.1776 0.2500 0.0610
Y 0.2215 0.7500 0.3831
Y 0.3049 0.5106 0.7431
Y 0.3049 0.9894 0.7431
Y 0.6951 0.0106 0.2569
Y 0.6951 0.4894 0.2569
Y 0.7785 0.2500 0.6169
Y 0.8224 0.7500 0.9390
In 0.2350 0.2500 0.4201
In 0.7650 0.7500 0.5799
Au 0.3354 0.7500 0.0592
Au 0.6646 0.2500 0.9408

---

Theoretical X-ray powder pattern of ZnIn6Au10 for Cu Kα (λ = 1.5418 Å), from a crystal structure in Alexandria, relaxed with PBE.
Neutral-atom scattering factors, no anomalous dispersion.

Most intense lines, 15 to 90 degrees two-theta, in order of rising 2θ:
2θ 27.36, intensity 33; 2θ 29.18, intensity 47; 2θ 33.12, intensity 44; 2θ 36.46, intensity 100; 2θ 37.21, intensity 27; 2θ 39.00, intensity 66; 2θ 39.60, intensity 53; 2θ 39.71, intensity 41; 2θ 41.19, intensity 25; 2θ 41.67, intensity 26

Structural model:
a b c (Å): 7.8434 7.8434 6.9476
angles (deg): 95.39 95.39 121.73
Positions (direct):
Zn 0.0000 0.0000 0.0000
In 0.0316 0.5908 0.2655
In 0.3822 0.3822 0.1654
In 0.4092 0.9684 0.7345
In 0.5908 0.0316 0.2655
In 0.6178 0.6178 0.8346
In 0.9684 0.4092 0.7345
Au 0.0212 0.2334 0.3594
Au 0.2231 0.2231 0.7564
Au 0.2334 0.0212 0.3594
Au 0.3162 0.6838 0.0000
Au 0.3789 0.6211 0.5000
Au 0.6211 0.3789 0.5000
Au 0.6838 0.3162 0.0000
Au 0.7666 0.9788 0.6406
Au 0.7769 0.7769 0.2436
Au 0.9788 0.7666 0.6406

---

Theoretical X-ray powder pattern of Zn9InAu2 for Cu Kα (λ = 1.5418 Å), from a crystal structure in Alexandria, relaxed with PBE.
Neutral-atom scattering factors, no anomalous dispersion.

Most intense lines, 15 to 90 degrees two-theta, in order of rising 2θ:
2θ 15.05, intensity 44; 2θ 22.20, intensity 42; 2θ 32.19, intensity 79; 2θ 32.77, intensity 38; 2θ 36.57, intensity 68; 2θ 36.77, intensity 55; 2θ 39.57, intensity 46; 2θ 43.02, intensity 43; 2θ 43.37, intensity 100; 2θ 45.28, intensity 91

Structural model:
a b c (Å): 8.4817 8.4817 8.4817
angles (deg): 99.77 99.77 131.36
Positions (direct):
Zn 0.0532 0.2161 0.4197
Zn 0.0532 0.6335 0.8371
Zn 0.2161 0.0532 0.9197
Zn 0.2161 0.2964 0.1629
Zn 0.2964 0.2161 0.6629
Zn 0.2964 0.6335 0.0803
Zn 0.3665 0.7036 0.4197
Zn 0.3665 0.9468 0.6629
Zn 0.3750 0.6250 0.7500
Zn 0.6250 0.3750 0.2500
Zn 0.6335 0.0532 0.3371
Zn 0.6335 0.2964 0.5803
Zn 0.7036 0.3665 0.9197
Zn 0.7036 0.7839 0.3371
Zn 0.7839 0.7036 0.8371
Zn 0.7839 0.9468 0.0803
Zn 0.9468 0.3665 0.1629
Zn 0.9468 0.7839 0.5803
In 0.1250 0.8750 0.2500
In 0.8750 0.1250 0.7500
Au 0.0000 0.5000 0.5000
Au 0.5000 0.0000 0.0000
Au 0.5000 0.5000 0.0000
Au 0.5000 0.5000 0.5000

---

Theoretical X-ray powder pattern of Zn12In2Au7 for Cu Kα (λ = 1.5418 Å), from a crystal structure in Alexandria, relaxed with PBE.
Neutral-atom scattering factors, no anomalous dispersion.

Most intense lines, 15 to 90 degrees two-theta, in order of rising 2θ:
2θ 24.12, intensity 67; 2θ 28.10, intensity 21; 2θ 32.36, intensity 30; 2θ 36.17, intensity 78; 2θ 38.53, intensity 30; 2θ 41.85, intensity 25; 2θ 42.44, intensity 100; 2θ 42.91, intensity 45; 2θ 54.66, intensity 20; 2θ 71.55, intensity 42

Structural model:
a b c (Å): 11.2716 11.2716 3.3581
angles (deg): 90.00 90.00 120.00
Positions (direct):
Zn 0.0532 0.2797 0.0000
Zn 0.1199 0.7298 0.5000
Zn 0.2266 0.9468 0.0000
Zn 0.2702 0.3901 0.5000
Zn 0.4028 0.1551 0.5000
Zn 0.5059 0.3986 0.0000
Zn 0.6014 0.1073 0.0000
Zn 0.6099 0.8801 0.5000
Zn 0.7203 0.7734 0.0000
Zn 0.7523 0.5972 0.5000
Zn 0.8449 0.2477 0.5000
Zn 0.8927 0.4941 0.0000
In 0.0000 0.0000 0.5000
In 0.3333 0.6667 0.0000
Au 0.0854 0.4841 0.5000
Au 0.2354 0.1888 0.0000
Au 0.3987 0.9146 0.5000
Au 0.5159 0.6013 0.5000
Au 0.6667 0.3333 0.5000
Au 0.8112 0.0465 0.0000
Au 0.9535 0.7646 0.0000